No. 1
Computed X-ray powder pattern of Ba5Ge2 for Cu Kα, 1.54184 Å, from DFT lattice parameters and positions (GGA-PBE).

Cell: 18.7086 7.8830 8.5024 Å, 90.00 95.26 90.00°
Space group C2/c (No. 15)
Inequivalent atoms, fractional coordinates:
Ba 0.0000 0.0547 0.2500 [4 per cell]
Ba 0.0890 0.3775 0.9299 [8 per cell]
Ba 0.2200 0.0590 0.3166 [8 per cell]
Ge 0.1070 0.2247 0.5620 [8 per cell]

Top 8 peaks for 2θ from 10° to 90°, low angle first:
| d/Å | I (rel.) |
| --- | --- |
| 3.718 | 65.4 |
| 3.573 | 45.3 |
| 3.371 | 100.0 |
| 3.290 | 60.4 |
| 3.089 | 31.9 |
| 3.004 | 62.7 |
| 2.887 | 45.2 |
| 2.053 | 28.3 |

---

No. 2
Computed X-ray powder pattern of K4Rb7Hg for Cu Kα, 1.54184 Å, from DFT lattice parameters and positions (GGA-PBE).

Cell: 15.5382 7.1996 17.1266 Å, 90.00 103.53 90.00°
Space group C2/m (No. 12)
Inequivalent atoms, fractional coordinates:
K 0.0428 0.0000 0.3073 [4 per cell]
K 0.1768 0.5000 0.7657 [4 per cell]
Rb 0.0000 0.5000 0.5000 [2 per cell]
Rb 0.0901 0.5000 0.1377 [4 per cell]
Rb 0.1400 0.0000 0.9558 [4 per cell]
Rb 0.2370 0.0000 0.5933 [4 per cell]
Hg 0.0000 0.0000 0.5000 [2 per cell]

Top 8 peaks for 2θ from 10° to 90°, low angle first:
| d/Å | I (rel.) |
| --- | --- |
| 8.326 | 38.7 |
| 6.272 | 25.2 |
| 4.021 | 100.0 |
| 3.600 | 53.9 |
| 3.510 | 49.7 |
| 3.351 | 49.8 |
| 2.513 | 40.3 |
| 2.452 | 37.4 |